1.
AcAsO4: theoretical X-ray diffraction stick pattern (a wavelength of 1.5418 Å), based on a structure optimized by DFT (GGA-PBE).
Kinematic intensities with the Lorentz-polarization factor, no thermal factor.

Top 10 peaks for 15° ≤ 2θ ≤ 90°, in order of rising 2θ:
Position (°2θ)  d (Å)  intensity
18.10  4.901  25
27.68  3.223  100
28.80  3.100  19
33.60  2.668  24
38.42  2.343  12
44.83  2.022  29
50.35  1.812  19
56.53  1.628  28
57.17  1.611  14
72.30  1.307  14

Cell and atoms:
```
data_AcAsO4
_chemical_formula_sum 'Ac2 As2 O8'
_space_group_name_H-M_alt 'P 1'
_space_group_IT_number 1
_cell_length_a 7.2567
_cell_length_b 7.2567
_cell_length_c 7.2567
_cell_angle_alpha 136.87
_cell_angle_beta 136.87
_cell_angle_gamma 62.65
loop_
_space_group_symop_operation_xyz
'x,y,z'
loop_
_atom_site_label
_atom_site_fract_x
_atom_site_fract_y
_atom_site_fract_z
Ac1 0.3750 0.1250 0.2500
Ac2 0.6250 0.8750 0.7500
As1 0.1250 0.3750 0.7500
As2 0.8750 0.6250 0.2500
O1 0.0793 0.2048 0.3844
O2 0.1949 0.5793 0.3745
O3 0.2952 0.1796 0.8745
O4 0.3204 0.6949 0.1156
O5 0.6796 0.3051 0.8844
O6 0.7048 0.8204 0.1255
O7 0.8051 0.4207 0.6255
O8 0.9207 0.7952 0.6156
```

2.
Ho2Fe17C3: theoretical X-ray diffraction stick pattern (a wavelength of 1.5418 Å), based on a structure optimized by DFT (GGA-PBE).
Kinematic intensities with the Lorentz-polarization factor, no thermal factor.

Top 10 peaks for 15° ≤ 2θ ≤ 90°, in order of rising 2θ:
Position (°2θ)  d (Å)  intensity
29.84  2.995  45
36.14  2.485  41
37.55  2.395  31
41.98  2.152  75
42.34  2.135  100
43.22  2.093  21
43.42  2.084  34
61.15  1.516  22
61.98  1.497  20
76.69  1.243  17

Cell and atoms:
```
data_Ho2Fe17C3
_chemical_formula_sum 'Ho2 Fe17 C3'
_space_group_name_H-M_alt 'P 1'
_space_group_IT_number 1
_cell_length_a 6.4871
_cell_length_b 6.4871
_cell_length_c 6.4871
_cell_angle_alpha 83.15
_cell_angle_beta 83.15
_cell_angle_gamma 83.15
loop_
_space_group_symop_operation_xyz
'x,y,z'
loop_
_atom_site_label
_atom_site_fract_x
_atom_site_fract_y
_atom_site_fract_z
Ho1 0.1570 0.1570 0.1570
Ho2 0.8430 0.8430 0.8430
Fe1 0.0000 0.5000 0.5000
Fe2 0.1562 0.1562 0.6453
Fe3 0.1562 0.6453 0.1562
Fe4 0.2162 0.5000 0.7838
Fe5 0.2162 0.7838 0.5000
Fe6 0.3547 0.8438 0.8438
Fe7 0.4044 0.4044 0.4044
Fe8 0.5000 0.0000 0.5000
Fe9 0.5000 0.2162 0.7838
Fe10 0.5000 0.5000 0.0000
Fe11 0.5000 0.7838 0.2162
Fe12 0.5956 0.5956 0.5956
Fe13 0.6453 0.1562 0.1562
Fe14 0.7838 0.2162 0.5000
Fe15 0.7838 0.5000 0.2162
Fe16 0.8438 0.3547 0.8438
Fe17 0.8438 0.8438 0.3547
C1 0.0000 0.0000 0.5000
C2 0.0000 0.5000 0.0000
C3 0.5000 0.0000 0.0000
```

3.
FeRhS: theoretical X-ray diffraction stick pattern (a wavelength of 1.5418 Å), based on a structure optimized by DFT (GGA-PBE).
Kinematic intensities with the Lorentz-polarization factor, no thermal factor.

Top 10 peaks for 15° ≤ 2θ ≤ 90°, in order of rising 2θ:
Position (°2θ)  d (Å)  intensity
18.59  4.773  16
33.59  2.668  100
35.35  2.539  48
37.69  2.386  27
41.75  2.164  73
46.06  1.971  86
56.31  1.634  26
58.90  1.568  51
72.07  1.310  22
77.85  1.227  17

Cell and atoms:
```
data_FeRhS
_chemical_formula_sum 'Fe1 Rh1 S1'
_space_group_name_H-M_alt 'P 1'
_space_group_IT_number 1
_cell_length_a 5.1048
_cell_length_b 5.1048
_cell_length_c 5.1048
_cell_angle_alpha 35.78
_cell_angle_beta 35.78
_cell_angle_gamma 35.78
loop_
_space_group_symop_operation_xyz
'x,y,z'
loop_
_atom_site_label
_atom_site_fract_x
_atom_site_fract_y
_atom_site_fract_z
Fe1 0.0000 0.0000 0.0000
Rh1 0.1875 0.1875 0.1875
S1 0.7511 0.7511 0.7511
```

4.
K3Nd2PaTe6: theoretical X-ray diffraction stick pattern (a wavelength of 1.5418 Å), based on a structure optimized by DFT (GGA-PBE).
Kinematic intensities with the Lorentz-polarization factor, no thermal factor.

Top 10 peaks for 15° ≤ 2θ ≤ 90°, in order of rising 2θ:
Position (°2θ)  d (Å)  intensity
26.74  3.334  100
33.91  2.644  17
36.75  2.446  37
39.56  2.278  36
41.09  2.197  11
46.18  1.966  12
48.39  1.881  19
55.09  1.667  11
60.29  1.535  14
64.23  1.450  20

Cell and atoms:
```
data_K3Nd2PaTe6
_chemical_formula_sum 'K3 Nd2 Pa1 Te6'
_space_group_name_H-M_alt 'P 1'
_space_group_IT_number 1
_cell_length_a 7.8912
_cell_length_b 7.8912
_cell_length_c 8.7175
_cell_angle_alpha 98.68
_cell_angle_beta 98.68
_cell_angle_gamma 120.00
loop_
_space_group_symop_operation_xyz
'x,y,z'
loop_
_atom_site_label
_atom_site_fract_x
_atom_site_fract_y
_atom_site_fract_z
K1 0.0000 0.0000 0.0000
K2 0.3309 0.6691 0.0000
K3 0.6691 0.3309 0.0000
Nd1 0.1663 0.8337 0.5000
Nd2 0.8337 0.1663 0.5000
Pa1 0.5000 0.5000 0.5000
Te1 0.1024 0.4285 0.2849
Te2 0.2464 0.2464 0.7158
Te3 0.4285 0.1024 0.2849
Te4 0.5715 0.8976 0.7151
Te5 0.7536 0.7536 0.2842
Te6 0.8976 0.5715 0.7151
```

5.
Zr3ScN: theoretical X-ray diffraction stick pattern (a wavelength of 1.5418 Å), based on a structure optimized by DFT (GGA-PBE).
Kinematic intensities with the Lorentz-polarization factor, no thermal factor.

Top 10 peaks for 15° ≤ 2θ ≤ 90°, in order of rising 2θ:
Position (°2θ)  d (Å)  intensity
31.40  2.849  60
34.31  2.614  70
35.78  2.510  100
35.90  2.501  100
36.02  2.494  99
55.90  1.645  56
62.25  1.491  18
62.48  1.486  18
62.72  1.481  19
67.10  1.395  18

Cell and atoms:
```
data_Zr3ScN
_chemical_formula_sum 'Zr12 Sc4 N4'
_space_group_name_H-M_alt 'P 1'
_space_group_IT_number 1
_cell_length_a 8.4393
_cell_length_b 5.6977
_cell_length_c 8.3674
_cell_angle_alpha 90.00
_cell_angle_beta 103.07
_cell_angle_gamma 90.00
loop_
_space_group_symop_operation_xyz
'x,y,z'
loop_
_atom_site_label
_atom_site_fract_x
_atom_site_fract_y
_atom_site_fract_z
Zr1 0.0563 0.0828 0.1843
Zr2 0.0563 0.4172 0.6843
Zr3 0.1801 0.5784 0.0637
Zr4 0.1801 0.9216 0.5637
Zr5 0.3101 0.0890 0.9419
Zr6 0.3101 0.4110 0.4419
Zr7 0.6899 0.5890 0.5581
Zr8 0.6899 0.9110 0.0581
Zr9 0.8199 0.0784 0.4363
Zr10 0.8199 0.4216 0.9363
Zr11 0.9437 0.5828 0.3157
Zr12 0.9437 0.9172 0.8157
Sc1 0.4357 0.5822 0.8121
Sc2 0.4357 0.9178 0.3121
Sc3 0.5643 0.0822 0.6879
Sc4 0.5643 0.4178 0.1879
N1 0.0619 0.2483 0.4376
N2 0.0619 0.2517 0.9376
N3 0.9381 0.7483 0.0624
N4 0.9381 0.7517 0.5624
```

6.
Er6In2Rh: theoretical X-ray diffraction stick pattern (a wavelength of 1.5418 Å), based on a structure optimized by DFT (GGA-PBE).
Kinematic intensities with the Lorentz-polarization factor, no thermal factor.

Top 10 peaks for 15° ≤ 2θ ≤ 90°, in order of rising 2θ:
Position (°2θ)  d (Å)  intensity
31.50  2.840  100
31.83  2.812  66
33.78  2.654  64
36.23  2.480  41
39.94  2.257  34
48.05  1.894  18
50.37  1.812  15
58.79  1.571  23
59.40  1.556  32
61.63  1.505  17

Cell and atoms:
```
data_Er6In2Rh
_chemical_formula_sum 'Er6 In2 Rh1'
_space_group_name_H-M_alt 'P 1'
_space_group_IT_number 1
_cell_length_a 3.7870
_cell_length_b 8.5861
_cell_length_c 8.5861
_cell_angle_alpha 119.92
_cell_angle_beta 90.00
_cell_angle_gamma 90.00
loop_
_space_group_symop_operation_xyz
'x,y,z'
loop_
_atom_site_label
_atom_site_fract_x
_atom_site_fract_y
_atom_site_fract_z
Er1 0.0000 0.0000 0.0000
Er2 0.0000 0.5128 0.7553
Er3 0.0000 0.7553 0.5128
Er4 0.5000 0.1478 0.7558
Er5 0.5000 0.3626 0.3626
Er6 0.5000 0.7558 0.1478
In1 0.0000 0.0889 0.4228
In2 0.0000 0.4228 0.0889
Rh1 0.5000 0.7577 0.7577
```